(1)
# Dy2YEr2Lu2Te2Pd2
Calculated powder diffraction line list, a wavelength of 1.5418 Å. Input: DFT lattice parameters and positions (PBE).
Intensities are scaled so that the largest is 100.

Main lines, in order of falling intensity (2θ = 10–90°):
2θ/deg	intensity
33.7	100.0
32.9	63.0
34.2	58.6
30.0	41.3
28.5	30.0
46.3	29.4

a b c (Å): 3.925 15.605 9.573
angles (deg): 90.00 90.00 90.00
Space group Imm2 (No. 44)
Unique sites:
Dy  0.000  0.129  0.000 (multiplicity 4)
Y  0.000  0.000  0.583 (multiplicity 2)
Er  0.000  0.355  0.848 (multiplicity 4)
Lu  0.000  0.317  0.207 (multiplicity 4)
Te  0.000  0.000  0.248 (multiplicity 2)
Te  0.000  0.500  0.346 (multiplicity 2)
Pd  0.000  0.236  0.514 (multiplicity 4)

=====

(2)
# HoTlZnS3
Calculated powder diffraction line list, a wavelength of 1.5418 Å. Input: DFT lattice parameters and positions (PBE).
Intensities are scaled so that the largest is 100.

Main lines, in order of falling intensity (2θ = 10–90°):
2θ/deg	intensity
21.0	100.0
30.6	96.9
34.0	80.4
42.7	59.6
24.9	53.0
24.8	42.2

a b c (Å): 10.527 3.960 14.283
angles (deg): 90.00 90.00 90.00
Space group Pnma (No. 62)
Unique sites:
Ho  0.012  0.250  0.245 (multiplicity 4)
Tl  0.228  0.750  0.497 (multiplicity 4)
Zn  0.238  0.250  0.713 (multiplicity 4)
S  0.049  0.250  0.630 (multiplicity 4)
S  0.078  0.750  0.124 (multiplicity 4)
S  0.239  0.750  0.812 (multiplicity 4)

=====

(3)
# Hf2CuPt3
Calculated powder diffraction line list, a wavelength of 1.5418 Å. Input: DFT lattice parameters and positions (PBE).
Intensities are scaled so that the largest is 100.

Main lines, in order of falling intensity (2θ = 10–90°):
2θ/deg	intensity
41.2	100.0
36.8	71.4
69.3	43.3
53.0	25.3
77.9	13.6
89.8	12.0

a b c (Å): 3.454 3.454 8.513
angles (deg): 90.00 90.00 90.00
Space group P4mm (No. 99)
Unique sites:
Hf  0.000  0.000  0.000 (multiplicity 1)
Hf  0.500  0.500  0.496 (multiplicity 1)
Cu  0.500  0.500  0.826 (multiplicity 1)
Pt  0.000  0.000  0.340 (multiplicity 1)
Pt  0.000  0.000  0.675 (multiplicity 1)
Pt  0.500  0.500  0.142 (multiplicity 1)

=====

(4)
# RbZrAg3S4
Calculated powder diffraction line list, a wavelength of 1.5418 Å. Input: DFT lattice parameters and positions (PBE).
Intensities are scaled so that the largest is 100.

Main lines, in order of falling intensity (2θ = 10–90°):
2θ/deg	intensity
40.0	100.0
24.2	81.9
28.0	51.5
13.9	38.7
47.3	37.3
72.7	28.9

a b c (Å): 6.370 6.370 6.370
angles (deg): 90.00 90.00 90.00
Space group P-43m (No. 215)
Unique sites:
Rb  0.000  0.000  0.000 (multiplicity 1)
Zr  0.500  0.500  0.500 (multiplicity 1)
Ag  0.000  0.500  0.500 (multiplicity 3)
S  0.280  0.280  0.280 (multiplicity 4)

=====

(5)
# Gd2NiGe6
Calculated powder diffraction line list, a wavelength of 1.5418 Å. Input: DFT lattice parameters and positions (PBE).
Intensities are scaled so that the largest is 100.

Main lines, in order of falling intensity (2θ = 10–90°):
2θ/deg	intensity
33.7	100.0
33.3	37.5
44.4	23.7
45.2	22.8
37.8	21.8
44.1	17.6

a b c (Å): 4.081 4.013 21.512
angles (deg): 90.00 90.00 90.00
Space group Amm2 (No. 38)
Unique sites:
Gd  0.000  0.000  0.000 (multiplicity 2)
Gd  0.000  0.000  0.336 (multiplicity 2)
Ni  0.500  0.000  0.778 (multiplicity 2)
Ge  0.000  0.000  0.605 (multiplicity 2)
Ge  0.000  0.000  0.721 (multiplicity 2)
Ge  0.500  0.000  0.104 (multiplicity 2)
Ge  0.500  0.000  0.220 (multiplicity 2)
Ge  0.500  0.000  0.459 (multiplicity 2)
Ge  0.500  0.000  0.885 (multiplicity 2)

=====

(6)
# Sr2SmP2
Calculated powder diffraction line list, a wavelength of 1.5418 Å. Input: DFT lattice parameters and positions (PBE).
Intensities are scaled so that the largest is 100.

Main lines, in order of falling intensity (2θ = 10–90°):
2θ/deg	intensity
29.3	100.0
25.5	68.4
42.3	36.9
41.6	29.6
52.3	19.3
24.9	19.1

a b c (Å): 4.2750 4.2750 10.7217
angles (deg): 90.00 90.00 120.00
Space group P-3m1 (No. 164)
Unique sites:
Sr  0.3333  0.6667  0.1961 (multiplicity 2)
Sm  0.0000  0.0000  0.5000 (multiplicity 1)
P  0.3333  0.6667  0.6528 (multiplicity 2)

=====

(7)
# Ni14Te
Calculated powder diffraction line list, a wavelength of 1.5418 Å. Input: DFT lattice parameters and positions (PBE).
Intensities are scaled so that the largest is 100.

Main lines, in order of falling intensity (2θ = 10–90°):
2θ/deg	intensity
44.8	100.0
43.7	98.9
46.4	61.7
45.3	59.0
52.2	54.5
52.1	32.9

a b c (Å): 12.568 3.512 28.845
angles (deg): 90.00 90.21 90.00
Space group C2/m (No. 12)
Unique sites:
Ni  0.017  0.000  0.323 (multiplicity 4)
Ni  0.019  0.500  0.542 (multiplicity 4)
Ni  0.057  0.000  0.408 (multiplicity 4)
Ni  0.058  0.500  0.626 (multiplicity 4)
Ni  0.094  0.500  0.711 (multiplicity 4)
Ni  0.096  0.000  0.491 (multiplicity 4)
Ni  0.096  0.500  0.275 (multiplicity 4)
Ni  0.134  0.500  0.358 (multiplicity 4)
Ni  0.135  0.000  0.575 (multiplicity 4)
Ni  0.173  0.000  0.658 (multiplicity 4)
Ni  0.173  0.500  0.441 (multiplicity 4)
Ni  0.209  0.000  0.306 (multiplicity 4)
Ni  0.211  0.500  0.525 (multiplicity 4)
Ni  0.250  0.000  0.391 (multiplicity 4)
Te  0.207  0.000  0.752 (multiplicity 4)

=====

(8)
# DyErLu2
Calculated powder diffraction line list, a wavelength of 1.5418 Å. Input: DFT lattice parameters and positions (PBE).
Intensities are scaled so that the largest is 100.

Main lines, in order of falling intensity (2θ = 10–90°):
2θ/deg	intensity
33.4	100.0
32.4	24.0
29.1	23.9
62.3	22.5
58.5	20.4
51.6	19.7

a b c (Å): 5.523 12.276 7.087
angles (deg): 90.00 90.00 90.00
Space group Ama2 (No. 40)
Unique sites:
Dy  0.250  0.167  0.000 (multiplicity 4)
Er  0.250  0.417  0.249 (multiplicity 4)
Lu  0.250  0.166  0.500 (multiplicity 4)
Lu  0.250  0.417  0.751 (multiplicity 4)